Starting from DFT lattice parameters and positions (PBE+U), the powder XRD pattern of BaTh2MoO8 was computed for CuKα.
No peak broadening, texture or thermal motion is included.

Structural model:
abc: 5.2298 7.3464 5.2356
angles: 90.00 91.55 90.00
Fractional positions:
Ba 0.0000 0.0000 0.0000
Th 0.5000 0.2554 0.5000
Th 0.5000 0.7446 0.5000
Mo 0.0000 0.5000 0.0000
O 0.1883 0.3113 0.1858
O 0.1883 0.6887 0.1858
O 0.2691 0.5000 0.7291
O 0.3303 0.0000 0.6638
O 0.6697 0.0000 0.3362
O 0.7309 0.5000 0.2709
O 0.8117 0.3113 0.8142
O 0.8117 0.6887 0.8142

Peak list (10 most intense, 2θ = 10–80°, most intense first)
29.7°, I = 100.0; 23.7°, I = 52.7; 24.4°, I = 49.6; 45.6°, I = 38.0; 46.4°, I = 35.9; 34.2°, I = 22.9; 58.6°, I = 20.7; 56.1°, I = 19.7; 17.0°, I = 19.7; 34.3°, I = 14.2